Entry 1:
The following is a calculated XRD peak list of CaRe3H9S4O6. It was derived from a DFT-relaxed cell (GGA-PBE, Alexandria), using Cu Ka.
Neutral-atom scattering factors, no anomalous dispersion.

Cell and atoms:
Cell lengths 9.0996, 9.0996, 8.9187 Å; angles 90.00, 90.00, 120.00 degrees
Atoms (fractional coordinates):
Ca 0.3333 0.6667 0.1663
Ca 0.6667 0.3333 0.8337
Re 0.0592 0.1874 0.3807
Re 0.1282 0.9408 0.3807
Re 0.1874 0.1282 0.6193
Re 0.8126 0.8718 0.3807
Re 0.8718 0.0592 0.6193
Re 0.9408 0.8126 0.6193
H 0.0195 0.3721 0.1862
H 0.1676 0.8012 0.0376
H 0.1988 0.3664 0.0376
H 0.2070 0.4404 0.8762
H 0.2334 0.7930 0.8762
H 0.3526 0.9805 0.1862
H 0.3664 0.1676 0.9624
H 0.3721 0.3526 0.8138
H 0.4404 0.2334 0.1238
H 0.5596 0.7666 0.8762
H 0.6279 0.6474 0.1862
H 0.6336 0.8324 0.0376
H 0.6474 0.0195 0.8138
H 0.7666 0.2070 0.1238
H 0.7930 0.5596 0.1238
H 0.8012 0.6336 0.9624
H 0.8324 0.1988 0.9624
H 0.9805 0.6279 0.8138
S 0.0000 0.0000 0.1706
S 0.0000 0.0000 0.8294
S 0.1091 0.3482 0.6134
S 0.2391 0.8909 0.6134
S 0.3482 0.2391 0.3866
S 0.6518 0.7609 0.6134
S 0.7609 0.1091 0.3866
S 0.8909 0.6518 0.3866
O 0.1255 0.3986 0.2375
O 0.1695 0.7221 0.9622
O 0.2732 0.8745 0.2375
O 0.2779 0.4473 0.9622
O 0.3986 0.2732 0.7625
O 0.4473 0.1695 0.0378
O 0.5527 0.8305 0.9622
O 0.6014 0.7268 0.2375
O 0.7221 0.5527 0.0378
O 0.7268 0.1255 0.7625
O 0.8305 0.2779 0.0378
O 0.8745 0.6014 0.7625

Peak list (10 most intense, 15 to 90 degrees two-theta, sorted by position)
Position (°2θ)	intensity
15.00	100
31.67	22
35.63	13
36.27	14
39.83	14
42.12	14
42.59	13
46.11	13
46.26	27
51.93	13

***

Entry 2:
The following is a calculated XRD peak list of Ho2TlSb. It was derived from a DFT-relaxed cell (GGA-PBE, Alexandria), using Cu Ka.
Neutral-atom scattering factors, no anomalous dispersion.

Cell and atoms:
Cell lengths 12.1616, 12.1616, 4.3642 Å; angles 90.00, 90.00, 158.89 degrees
Atoms (fractional coordinates):
Ho 0.0630 0.9370 0.7500
Ho 0.3158 0.6842 0.7500
Ho 0.6842 0.3158 0.2500
Ho 0.9370 0.0630 0.2500
Tl 0.4537 0.5463 0.7500
Tl 0.5463 0.4537 0.2500
Sb 0.1881 0.8119 0.7500
Sb 0.8119 0.1881 0.2500

Peak list (10 most intense, 15 to 90 degrees two-theta, sorted by position)
Position (°2θ)	intensity
28.88	100
29.89	53
30.79	24
34.34	22
39.12	78
40.49	29
41.38	27
51.14	25
51.88	23
67.83	29

***

Entry 3:
The following is a calculated XRD peak list of Cr2CuIr. It was derived from a DFT-relaxed cell (GGA-PBE, Alexandria), using Cu Ka.
Neutral-atom scattering factors, no anomalous dispersion.

Cell and atoms:
Cell lengths 4.3834, 4.3834, 2.6986 Å; angles 90.13, 90.13, 100.39 degrees
Atoms (fractional coordinates):
Cr 0.1853 0.1853 0.4971
Cr 0.8147 0.8147 0.5029
Cu 0.7062 0.2938 0.0000
Ir 0.3056 0.6944 0.0000

Peak list (10 most intense, 15 to 90 degrees two-theta, sorted by position)
Position (°2θ)	intensity
20.60	87
31.89	37
39.34	35
39.44	35
41.91	87
42.95	100
43.41	64
46.61	42
46.79	41
55.72	30

***

Entry 4:
The following is a calculated XRD peak list of Sm4HoTm3Se8. It was derived from a DFT-relaxed cell (GGA-PBE, Alexandria), using Cu Ka.
Neutral-atom scattering factors, no anomalous dispersion.

Cell and atoms:
Cell lengths 8.2964, 8.2964, 8.2964 Å; angles 58.54, 58.54, 58.54 degrees
Atoms (fractional coordinates):
Sm 0.0000 0.0000 0.0000
Sm 0.0000 0.5000 0.5000
Sm 0.5000 0.0000 0.5000
Sm 0.5000 0.5000 0.0000
Ho 0.5000 0.5000 0.5000
Tm 0.0000 0.0000 0.5000
Tm 0.0000 0.5000 0.0000
Tm 0.5000 0.0000 0.0000
Se 0.2434 0.7460 0.7460
Se 0.2447 0.2447 0.2447
Se 0.2540 0.2540 0.7566
Se 0.2540 0.7566 0.2540
Se 0.7460 0.2434 0.7460
Se 0.7460 0.7460 0.2434
Se 0.7553 0.7553 0.7553
Se 0.7566 0.2540 0.2540

Peak list (10 most intense, 15 to 90 degrees two-theta, sorted by position)
Position (°2θ)	intensity
26.82	15
30.84	100
43.66	38
44.68	36
53.53	7
55.28	19
64.25	12
72.22	17
73.70	16
81.64	12